Starting from the GGA+U geometry in Alexandria, the X-ray powder pattern of CaCr4Hg2O8 was computed for Cu Kα (weighted mean of Kα1 and Kα2).
Neutral-atom scattering factors, no anomalous dispersion.

Peak list (10 most intense, 10 to 80 degrees two-theta, in order of falling intensity)
32.68°, I 100.0
28.67°, I 69.6
42.73°, I 46.9
33.64°, I 28.3
30.99°, I 28.1
53.39°, I 25.6
59.37°, I 24.2
26.41°, I 22.6
56.21°, I 21.0
50.05°, I 19.7

Atomic structure:
a = 6.7988 Å, b = 6.7988 Å, c = 6.7988 Å
α = 54.51°, β = 54.51°, γ = 54.51°
Sites, in units of the cell vectors:
Ca1 0.0000 0.0000 0.0000
Cr1 0.0000 0.5000 0.5000
Cr2 0.5000 0.0000 0.5000
Cr3 0.5000 0.5000 0.0000
Cr4 0.5000 0.5000 0.5000
Hg1 0.1596 0.1596 0.1596
Hg2 0.8404 0.8404 0.8404
O1 0.2586 0.2586 0.6960
O2 0.2586 0.6960 0.2586
O3 0.2837 0.2837 0.2837
O4 0.3040 0.7414 0.7414
O5 0.6960 0.2586 0.2586
O6 0.7163 0.7163 0.7163
O7 0.7414 0.3040 0.7414
O8 0.7414 0.7414 0.3040